[1]
For LiSc2Ru, the PBE geometry in the Materials Project gives the theoretical powder XRD pattern in this record (Cu Kα X-rays).
Peak positions follow from Bragg's law for the DFT cell and can differ from measured ones.

Structural model:
```
LiSc2Ru
1.0
0.0000 3.2742 3.2742
3.2742 0.0000 3.2742
3.2742 3.2742 0.0000
Li Sc Ru
1 2 1
Direct
0.0000 0.0000 0.0000
0.2500 0.2500 0.2500
0.7500 0.7500 0.7500
0.5000 0.5000 0.5000
```

The 10 most intense peaks (2θ = 10–90°), sorted by position:
d [Å], 2θ/deg, I (rel.)
3.781, 23.5, 63
3.274, 27.2, 1
2.315, 38.9, 100
1.974, 46.0, 31
1.637, 56.2, 16
1.502, 61.7, 12
1.337, 70.4, 31
1.260, 75.4, 9
1.158, 83.5, 10
1.107, 88.3, 9

---

[2]
For GdAl3B4O12, the PBE geometry in the Materials Project gives the theoretical powder XRD pattern in this record (Cu Kα X-rays).
Peak positions follow from Bragg's law for the DFT cell and can differ from measured ones.

Structural model:
```
GdAl3B4O12
1.0
4.6912 2.7085 2.4463
-4.6912 2.7085 2.4463
0.0000 -5.4169 2.4463
Gd Al B O
1 3 4 12
Direct
0.0000 0.0000 0.0000
0.0000 0.4446 0.5554
0.4446 0.5554 0.0000
0.5554 0.0000 0.4446
0.0571 0.9429 0.5000
0.5000 0.0571 0.9429
0.5000 0.5000 0.5000
0.9429 0.5000 0.0571
0.0278 0.7774 0.6251
0.0913 0.5000 0.9087
0.2226 0.9722 0.3749
0.3514 0.5000 0.6486
0.3749 0.2226 0.9722
0.5000 0.6486 0.3514
0.5000 0.9087 0.0913
0.6251 0.0278 0.7774
0.6486 0.3514 0.5000
0.7774 0.6251 0.0278
0.9087 0.0913 0.5000
0.9722 0.3749 0.2226
```

The 10 most intense peaks (2θ = 10–90°), sorted by position:
d [Å], 2θ/deg, I (rel.)
5.446, 16.3, 88
4.691, 18.9, 55
3.554, 25.1, 67
3.344, 26.7, 30
2.833, 31.6, 45
2.723, 32.9, 100
2.355, 38.2, 45
2.169, 41.6, 26
2.154, 41.9, 38
1.693, 54.2, 29

---

[3]
For K5RbZn4Sn5S17, the PBE geometry in the Materials Project gives the theoretical powder XRD pattern in this record (Cu Kα X-rays).
Peak positions follow from Bragg's law for the DFT cell and can differ from measured ones.

Structural model:
```
K5RbZn4Sn5S17
1.0
9.8839 0.0000 0.0000
4.9307 9.8788 0.0000
4.9353 0.0129 9.8806
K Rb Zn Sn S
5 1 4 5 17
Direct
0.0000 0.0000 0.0000
0.0030 0.5075 0.4794
0.2609 0.9915 0.4793
0.5152 0.9957 0.9612
0.5220 0.4702 0.4779
0.9888 0.6253 0.9431
0.4856 0.1307 0.6195
0.7635 0.8516 0.3416
0.8963 0.8531 0.6163
0.8967 0.1316 0.3391
0.2079 0.7690 0.2555
0.5126 0.4872 0.9815
0.5359 0.7691 0.7019
0.5405 0.2123 0.2571
0.7606 0.2140 0.7022
0.0349 0.7093 0.2006
0.1741 0.7115 0.4865
0.1750 0.9993 0.2003
0.3387 0.9983 0.7593
0.3405 0.2680 0.4869
0.3712 0.3448 0.1253
0.3725 0.6322 0.8363
0.4741 0.2707 0.7616
0.5079 0.6346 0.1229
0.6262 0.7106 0.4724
0.6280 0.9812 0.1998
0.7604 0.9918 0.4789
0.7665 0.7107 0.7585
0.7677 0.2724 0.1976
0.7958 0.3465 0.8350
0.9037 0.9818 0.7589
0.9052 0.2686 0.4719
```

The 10 most intense peaks (2θ = 10–90°), sorted by position:
d [Å], 2θ/deg, I (rel.)
8.069, 11.0, 100
4.941, 18.0, 32
3.493, 25.5, 46
3.294, 27.1, 49
3.205, 27.8, 49
2.689, 33.3, 45
2.510, 35.8, 30
2.131, 42.4, 31
1.747, 52.4, 37
1.707, 53.7, 26

---

[4]
For Sr8Co3N8, the PBE geometry in the Materials Project gives the theoretical powder XRD pattern in this record (Cu Kα X-rays).
Peak positions follow from Bragg's law for the DFT cell and can differ from measured ones.

Structural model:
```
Sr8Co3N8
1.0
9.3592 -2.6691 0.0000
9.3592 2.6691 0.0000
-2.0338 0.0000 7.1776
Sr Co N
8 3 8
Direct
0.0295 0.0295 0.2646
0.2004 0.2004 0.8099
0.3330 0.3330 0.5271
0.4042 0.4042 0.0405
0.5958 0.5958 0.9595
0.6670 0.6670 0.4729
0.7996 0.7996 0.1901
0.9705 0.9705 0.7354
0.1868 0.1868 0.2059
0.5000 0.5000 0.5000
0.8132 0.8132 0.7941
0.1063 0.1063 0.0115
0.1771 0.1771 0.4318
0.2757 0.2757 0.1669
0.4742 0.4742 0.7148
0.5258 0.5258 0.2852
0.7243 0.7243 0.8331
0.8229 0.8229 0.5682
0.8937 0.8937 0.9885
```

The 10 most intense peaks (2θ = 10–90°), sorted by position:
d [Å], 2θ/deg, I (rel.)
3.246, 27.5, 29
3.053, 29.3, 57
3.007, 29.7, 72
2.986, 29.9, 37
2.947, 30.3, 21
2.837, 31.5, 62
2.669, 33.6, 100
2.603, 34.5, 25
2.534, 35.4, 22
1.492, 62.2, 20

---

[5]
For Tm4Ni, the PBE geometry in the Materials Project gives the theoretical powder XRD pattern in this record (Cu Kα X-rays).
Peak positions follow from Bragg's law for the DFT cell and can differ from measured ones.

Structural model:
```
Tm4Ni
1.0
0.0000 5.2290 5.2290
5.2290 0.0000 5.2290
5.2290 5.2290 0.0000
Tm Ni
8 2
Direct
0.2124 0.7625 0.7625
0.2375 0.2375 0.2375
0.2375 0.2375 0.7876
0.2375 0.7876 0.2375
0.7625 0.2124 0.7625
0.7625 0.7625 0.2124
0.7625 0.7625 0.7625
0.7876 0.2375 0.2375
0.3750 0.3750 0.3750
0.6250 0.6250 0.6250
```

The 10 most intense peaks (2θ = 10–90°), sorted by position:
d [Å], 2θ/deg, I (rel.)
3.019, 29.6, 100
2.614, 34.3, 40
2.399, 37.5, 11
2.013, 45.0, 14
1.849, 49.3, 40
1.577, 58.5, 36
1.509, 61.4, 8
1.464, 63.5, 7
1.200, 80.0, 12
1.169, 82.5, 8

---

[6]
For NaPO6, the PBE geometry in the Materials Project gives the theoretical powder XRD pattern in this record (Cu Kα X-rays).
Peak positions follow from Bragg's law for the DFT cell and can differ from measured ones.

Structural model:
```
NaPO6
1.0
6.4206 -3.9158 0.0000
6.4206 3.9158 0.0000
-5.8050 0.0000 10.8271
Na P O
4 4 24
Direct
0.1392 0.3399 0.2556
0.3399 0.1392 0.7556
0.6601 0.8608 0.2444
0.8608 0.6601 0.7444
0.3556 0.6269 0.6066
0.3731 0.6444 0.8934
0.6269 0.3556 0.1066
0.6444 0.3731 0.3934
0.0380 0.3649 0.6100
0.0385 0.7776 0.1002
0.0403 0.3150 0.8801
0.1444 0.7523 0.8594
0.2224 0.9615 0.3998
0.2360 0.4812 0.5311
0.2477 0.8556 0.6406
0.3150 0.0403 0.3801
0.3649 0.0380 0.1100
0.4134 0.4669 0.3479
0.4669 0.4134 0.8479
0.4812 0.2360 0.0311
0.5188 0.7640 0.9689
0.5331 0.5866 0.1521
0.5866 0.5331 0.6521
0.6351 0.9620 0.8900
0.6850 0.9597 0.6199
0.7523 0.1444 0.3594
0.7640 0.5188 0.4689
0.7776 0.0385 0.6002
0.8556 0.2477 0.1406
0.9597 0.6850 0.1199
0.9615 0.2224 0.8998
0.9620 0.6351 0.3900
```

The 10 most intense peaks (2θ = 10–90°), sorted by position:
d [Å], 2θ/deg, I (rel.)
6.440, 13.8, 47
6.333, 14.0, 38
3.399, 26.2, 31
3.342, 26.7, 80
3.263, 27.3, 82
3.071, 29.1, 68
2.908, 30.7, 31
2.769, 32.3, 29
2.707, 33.1, 25
2.654, 33.8, 100

---

[7]
For Ca9Zn4Bi9, the PBE geometry in the Materials Project gives the theoretical powder XRD pattern in this record (Cu Kα X-rays).
Peak positions follow from Bragg's law for the DFT cell and can differ from measured ones.

Structural model:
```
Ca9Zn4Bi9
1.0
12.7589 0.0000 0.0000
0.0000 22.2704 0.0000
0.0000 0.0000 4.6913
Ca Zn Bi
18 8 18
Direct
0.0000 0.0000 0.0000
0.0721 0.4113 0.5000
0.1261 0.2347 0.5000
0.1311 0.8621 0.5000
0.2047 0.6008 0.0000
0.2953 0.1008 0.0000
0.3689 0.3621 0.5000
0.3739 0.7347 0.5000
0.4279 0.9113 0.5000
0.5000 0.5000 0.0000
0.5721 0.0887 0.5000
0.6261 0.2653 0.5000
0.6311 0.6379 0.5000
0.7047 0.8992 0.0000
0.7953 0.3992 0.0000
0.8689 0.1379 0.5000
0.8739 0.7653 0.5000
0.9279 0.5887 0.5000
0.1107 0.7631 0.0000
0.2290 0.4528 0.0000
0.2710 0.9528 0.0000
0.3893 0.2631 0.0000
0.6107 0.7369 0.0000
0.7290 0.0472 0.0000
0.7710 0.5472 0.0000
0.8893 0.2369 0.0000
0.0000 0.5000 0.0000
0.0465 0.1447 0.0000
0.1137 0.6932 0.5000
0.1904 0.0091 0.5000
0.1911 0.3295 0.0000
0.3089 0.8295 0.0000
0.3096 0.5091 0.5000
0.3863 0.1932 0.5000
0.4535 0.6447 0.0000
0.5000 0.0000 0.0000
0.5465 0.3553 0.0000
0.6137 0.8068 0.5000
0.6904 0.4909 0.5000
0.6911 0.1705 0.0000
0.8089 0.6705 0.0000
0.8096 0.9909 0.5000
0.8863 0.3068 0.5000
0.9535 0.8553 0.0000
```

The 10 most intense peaks (2θ = 10–90°), sorted by position:
d [Å], 2θ/deg, I (rel.)
3.786, 23.5, 90
3.719, 23.9, 94
3.690, 24.1, 100
3.582, 24.9, 49
2.882, 31.0, 56
2.838, 31.5, 47
2.346, 38.4, 65
2.241, 40.2, 60
2.002, 45.3, 42
1.981, 45.8, 57

---

[8]
For SrGdZrTiO6, the PBE geometry in the Materials Project gives the theoretical powder XRD pattern in this record (Cu Kα X-rays).
Peak positions follow from Bragg's law for the DFT cell and can differ from measured ones.

Structural model:
```
SrGdZrTiO6
1.0
0.0000 4.0551 4.0551
4.0551 0.0000 4.0551
4.0551 4.0551 0.0000
Sr Gd Zr Ti O
1 1 1 1 6
Direct
0.0000 0.0000 0.0000
0.5000 0.5000 0.5000
0.2500 0.2500 0.2500
0.7500 0.7500 0.7500
0.5070 0.5070 0.9930
0.5070 0.9930 0.5070
0.5070 0.9930 0.9930
0.9930 0.5070 0.5070
0.9930 0.5070 0.9930
0.9930 0.9930 0.5070
```

The 10 most intense peaks (2θ = 10–90°), sorted by position:
d [Å], 2θ/deg, I (rel.)
4.682, 19.0, 11
4.055, 21.9, 4
2.867, 31.2, 100
2.445, 36.8, 7
2.341, 38.5, 12
2.028, 44.7, 34
1.655, 55.5, 39
1.434, 65.1, 20
1.282, 73.9, 17
1.171, 82.4, 7